Starting from a DFT-relaxed cell (GGA+U, the Materials Project), the X-ray diffraction stick pattern of CoO2 was calculated for Cu Ka.

Principal peaks in the range 10° ≤ 2θ ≤ 90°, in order of falling intensity:
2θ = 16.71°, 5.306 Å, I 100.0, (0 0 2)
2θ = 40.35°, 2.235 Å, I 10.0, (0 1 2)
2θ = 44.52°, 2.035 Å, I 9.7, (1 1 3)
2θ = 45.55°, 1.991 Å, I 9.5, (1 1 -3)
2θ = 37.91°, 2.373 Å, I 9.5, (1 1 -1)
2θ = 50.55°, 1.806 Å, I 8.4, (0 1 -4)
2θ = 56.74°, 1.622 Å, I 6.3, (1 0 5)
2θ = 58.19°, 1.585 Å, I 5.9, (1 1 -5)
2θ = 37.48°, 2.400 Å, I 5.6, (1 0 1)
2θ = 66.27°, 1.410 Å, I 5.2, (2 1 0)

Cell lengths 2.8211, 2.8378, 10.6161 Å; angles 89.33, 88.46, 60.28 degrees
Sites, in units of the cell vectors:
Co 0.0000 0.0000 0.0000
Co 0.4987 0.0089 0.5040
O 0.1562 0.6753 0.5924
O 0.3235 0.3352 0.0884
O 0.6762 0.6649 0.9116
O 0.8406 0.3429 0.4155

***

Starting from a DFT-relaxed cell (GGA+U, the Materials Project), the X-ray diffraction stick pattern of Co23O32 was calculated for Cu Ka.

Principal peaks in the range 10° ≤ 2θ ≤ 90°, in order of falling intensity:
2θ = 35.98°, 2.496 Å, I 100.0, (3 1 -1)
2θ = 36.06°, 2.491 Å, I 99.4, (1 -3 2)
2θ = 18.63°, 4.763 Å, I 62.0, (-1 1 1)
2θ = 57.95°, 1.592 Å, I 55.8, (5 1 -2)
2θ = 36.24°, 2.479 Å, I 50.2, (1 1 2)
2θ = 36.37°, 2.470 Å, I 49.5, (1 -1 3)
2θ = 43.74°, 2.070 Å, I 48.4, (4 0 -2)
2θ = 63.58°, 1.463 Å, I 44.7, (4 4 -4)
2θ = 63.98°, 1.455 Å, I 43.8, (4 0 -6)
2θ = 30.56°, 2.925 Å, I 39.3, (0 2 1)

Cell lengths 8.2727, 8.2841, 10.0447 Å; angles 114.02, 114.27, 90.06 degrees
Sites, in units of the cell vectors:
Co 0.0000 0.0000 0.0000
Co 0.0001 0.4964 0.4992
Co 0.0572 0.5593 0.8752
Co 0.1132 0.8674 0.7390
Co 0.1271 0.8770 0.2512
Co 0.1822 0.1783 0.6211
Co 0.2433 0.2433 0.9979
Co 0.2502 0.7487 0.5013
Co 0.3117 0.3097 0.3793
Co 0.3754 0.6216 0.2525
Co 0.3800 0.6203 0.7598
Co 0.4378 0.9439 0.1337
Co 0.5004 0.0015 0.5039
Co 0.4995 0.5011 0.0010
Co 0.5663 0.0626 0.8765
Co 0.6259 0.3728 0.2528
Co 0.6271 0.3686 0.7507
Co 0.6872 0.6851 0.6257
Co 0.7505 0.2444 0.5020
Co 0.7573 0.7524 0.0112
Co 0.8685 0.1240 0.7492
Co 0.8776 0.1233 0.2501
Co 0.9393 0.4369 0.1295
O 0.0063 0.7761 0.0160
O 0.0258 0.7296 0.5079
O 0.1003 0.1147 0.7512
O 0.1061 0.1038 0.2376
O 0.1238 0.6178 0.7339
O 0.1462 0.6466 0.2664
O 0.2284 0.0053 0.9860
O 0.2364 0.5172 0.5030
O 0.2549 0.4795 0.0091
O 0.2569 0.9751 0.4889
O 0.3610 0.8583 0.7318
O 0.3695 0.8771 0.2701
O 0.3938 0.3742 0.2502
O 0.3990 0.3732 0.7608
O 0.4814 0.7642 0.4966
O 0.4975 0.2560 0.0231
O 0.5124 0.7420 0.0081
O 0.5220 0.2408 0.5148
O 0.5976 0.5904 0.2432
O 0.6301 0.6090 0.7639
O 0.6307 0.1330 0.7381
O 0.6503 0.1448 0.2680
O 0.7363 0.4953 0.9849
O 0.7365 0.0296 0.5190
O 0.7582 0.4764 0.4873
O 0.7768 0.0011 0.0152
O 0.8517 0.3512 0.7355
O 0.8646 0.3655 0.2631
O 0.8825 0.8987 0.7628
O 0.8924 0.8900 0.2406
O 0.9782 0.2547 0.4881
O 0.9982 0.2259 0.9864